The following is a simulated X-ray powder pattern of Nd2Pu2Ag15. It was derived from a DFT-relaxed cell (PBE, Alexandria), using Cu Kα.
Intensities are scaled so that the largest is 100.

Peak list (12 most intense, 15° ≤ 2θ ≤ 90°, in order of falling intensity)
Position (°2θ), d/Å, I (rel.), index
36.8, 2.442, 100, 0 3 3
36.7, 2.450, 83, 2 2 0
41.3, 2.185, 72, 2 2 3
31.6, 2.829, 65, 3 0 0
32.5, 2.757, 40, 0 2 4
66.1, 1.414, 35, 6 0 0
41.6, 2.169, 34, 1 1 6
37.5, 2.395, 29, 2 0 5
66.8, 1.401, 27, 0 3 9
37.2, 2.418, 26, 0 0 6
37.4, 2.403, 26, 2 1 4
59.8, 1.547, 19, 3 3 3

abc: 9.7985 9.7985 14.5097
angles: 90.00 90.00 120.00
Space group R-3m (No. 166, hexagonal axes)
Asymmetric unit:
Nd: 0.0000 0.0000 0.1538
Pu: 0.0000 0.0000 0.4032
Ag: 0.0000 0.3105 0.5000
Ag: 0.0000 0.5000 0.0000
Ag: 0.0104 0.5052 0.6526

The following is a simulated X-ray powder pattern of AcBe3As3. It was derived from a DFT-relaxed cell (PBE, Alexandria), using Cu Kα.
Intensities are scaled so that the largest is 100.

Peak list (12 most intense, 15° ≤ 2θ ≤ 90°, in order of falling intensity)
Position (°2θ), d/Å, I (rel.), index
31.6, 2.836, 100, 2 0 1
37.3, 2.410, 99, 1 2 1
34.0, 2.640, 60, 3 0 0
55.4, 1.659, 48, 3 2 1
24.6, 3.614, 36, 1 0 1
29.4, 3.037, 34, 1 1 1
19.4, 4.573, 30, 1 1 0
29.8, 2.994, 28, 1 2 0
57.2, 1.610, 27, 3 0 2
53.0, 1.729, 21, 1 4 0
70.1, 1.343, 20, 1 5 1
44.6, 2.031, 18, 0 0 2

abc: 9.1468 9.1468 4.0618
angles: 90.00 90.00 120.00
Space group P6_3/m (No. 176)
Asymmetric unit:
Ac: 0.3333 0.6667 0.2500
Be: 0.0599 0.3994 0.7500
As: 0.0811 0.6852 0.7500

The following is a simulated X-ray powder pattern of Li13Pt2. It was derived from a DFT-relaxed cell (PBE, Alexandria), using Cu Kα.
Intensities are scaled so that the largest is 100.

Peak list (12 most intense, 15° ≤ 2θ ≤ 90°, in order of falling intensity)
Position (°2θ), d/Å, I (rel.), index
17.8, 4.992, 100, 1 0 0
21.9, 4.052, 85, 1 0 1
23.7, 3.747, 72, 0 1 2
24.0, 3.705, 69, -1 1 1
22.3, 3.994, 64, 0 1 -1
27.8, 3.212, 48, 1 1 -1
27.5, 3.249, 48, 0 2 0
39.1, 2.304, 47, 0 3 2
21.4, 4.160, 42, 1 1 0
29.3, 3.051, 42, 1 2 1
25.1, 3.547, 39, 0 2 1
28.9, 3.085, 34, 1 1 2

abc: 5.021 7.152 7.572
angles: 65.90 87.34 83.80
Space group P-1 (No. 2)
Asymmetric unit:
Li: 0.000 0.000 0.000
Li: 0.140 0.506 0.727
Li: 0.215 0.180 0.196
Li: 0.239 0.933 0.590
Li: 0.303 0.646 0.043
Li: 0.350 0.387 0.441
Li: 0.433 0.137 0.795
Pt: 0.097 0.769 0.354

The following is a simulated X-ray powder pattern of Dy7Tl2Pt2. It was derived from a DFT-relaxed cell (PBE, Alexandria), using Cu Kα.
Intensities are scaled so that the largest is 100.

Peak list (12 most intense, 15° ≤ 2θ ≤ 90°, in order of falling intensity)
Position (°2θ), d/Å, I (rel.), index
37.1, 2.421, 100, 2 2 2
32.3, 2.771, 56, 0 4 0
24.9, 3.575, 48, 2 0 1
36.8, 2.442, 43, 1 3 2
20.4, 4.364, 37, 0 2 1
28.6, 3.123, 32, 1 1 2
51.6, 1.770, 23, 0 0 4
42.8, 2.111, 21, 3 3 1
62.2, 1.492, 17, 0 4 4
26.9, 3.318, 17, 2 2 0
43.7, 2.071, 17, 4 0 0
41.2, 2.190, 16, 2 4 1

abc: 8.284 11.082 7.080
angles: 90.00 90.00 90.00
Space group Cmmm (No. 65)
Asymmetric unit:
Dy: 0.000 0.000 0.000
Dy: 0.000 0.500 0.243
Dy: 0.250 0.250 0.250
Tl: 0.180 0.000 0.500
Pt: 0.000 0.288 0.000